# 1
Calculated XRD peak list of CePm2Ho4 for CuKα, from a crystal structure in Alexandria, relaxed with PBE.

The 8 most intense peaks (2θ from 15° to 90°), low angle first:
2θ 28.79, I 33
2θ 31.10, I 63
2θ 32.42, I 100
2θ 33.15, I 98
2θ 50.95, I 42
2θ 55.69, I 20
2θ 57.11, I 22
2θ 60.90, I 50

Structure:
Unit cell a=6.2133 b=3.5828 c=20.2411 alpha=90.00 beta=95.89 gamma=90.00
Positions (direct):
Ce 0.0000 0.0000 0.0000
Ce 0.5000 0.5000 0.0000
Pm 0.3191 0.5000 0.4262
Pm 0.4085 0.5000 0.7142
Pm 0.8191 0.0000 0.4262
Pm 0.9085 0.0000 0.7142
Ho 0.0985 0.0000 0.2809
Ho 0.1257 0.5000 0.8579
Ho 0.1959 0.0000 0.5709
Ho 0.2201 0.5000 0.1421
Ho 0.5985 0.5000 0.2809
Ho 0.6257 0.0000 0.8579
Ho 0.6959 0.5000 0.5709
Ho 0.7201 0.0000 0.1421

---

# 2
Calculated XRD peak list of CePm8Ho5 for CuKα, from a crystal structure in Alexandria, relaxed with PBE.

The 8 most intense peaks (2θ from 15° to 90°), low angle first:
2θ 27.42, I 56
2θ 29.39, I 65
2θ 29.62, I 75
2θ 31.65, I 24
2θ 33.35, I 100
2θ 34.40, I 37
2θ 35.01, I 43
2θ 54.98, I 22

Structure:
Unit cell a=8.5086 b=8.5086 c=8.5086 alpha=111.84 beta=111.84 gamma=104.84
Positions (direct):
Ce 0.0000 0.0000 0.0000
Pm 0.0848 0.6875 0.7691
Pm 0.2823 0.5282 0.1045
Pm 0.3125 0.0816 0.3974
Pm 0.4237 0.1777 0.8955
Pm 0.4718 0.5763 0.7540
Pm 0.6843 0.9152 0.6026
Pm 0.8223 0.7177 0.2460
Pm 0.9184 0.3157 0.2309
Ho 0.0284 0.2131 0.5958
Ho 0.2500 0.7500 0.5000
Ho 0.5675 0.9716 0.1847
Ho 0.6172 0.4325 0.4042
Ho 0.7869 0.3828 0.8153

---

# 3
Calculated XRD peak list of CePm2PrHo5 for CuKα, from a crystal structure in Alexandria, relaxed with PBE.

The 8 most intense peaks (2θ from 15° to 90°), low angle first:
2θ 28.75, I 61
2θ 29.03, I 49
2θ 30.95, I 100
2θ 32.55, I 18
2θ 37.74, I 17
2θ 43.26, I 22
2θ 46.51, I 14
2θ 52.68, I 18

Structure:
Unit cell a=9.8784 b=9.8784 c=9.8784 alpha=127.76 beta=127.76 gamma=77.02
Positions (direct):
Ce 0.2500 0.7500 0.5000
Ce 0.7500 0.2500 0.5000
Pm 0.1191 0.6191 0.7381
Pm 0.3809 0.1191 0.5000
Pm 0.6191 0.8809 0.5000
Pm 0.8809 0.3809 0.2619
Pr 0.2500 0.2500 0.0000
Pr 0.7500 0.7500 0.0000
Ho 0.0000 0.0000 0.0000
Ho 0.0657 0.1589 0.5000
Ho 0.1589 0.6589 0.0932
Ho 0.3411 0.4343 0.5000
Ho 0.4343 0.9343 0.0932
Ho 0.5000 0.5000 0.0000
Ho 0.5657 0.0657 0.9068
Ho 0.6589 0.5657 0.5000
Ho 0.8411 0.3411 0.9068
Ho 0.9343 0.8411 0.5000

---

# 4
Calculated XRD peak list of CePm2HoPt2 for CuKα, from a crystal structure in Alexandria, relaxed with PBE.

The 8 most intense peaks (2θ from 15° to 90°), low angle first:
2θ 22.36, I 23
2θ 29.14, I 42
2θ 29.29, I 42
2θ 31.20, I 50
2θ 36.49, I 46
2θ 36.61, I 46
2θ 37.63, I 100
2θ 42.31, I 47

Structure:
Unit cell a=8.6124 b=8.6124 c=8.6124 alpha=133.63 beta=67.44 gamma=133.93
Positions (direct):
Ce 0.2500 0.2500 0.0000
Ce 0.7500 0.7500 0.0000
Pm 0.1895 0.2391 0.4287
Pm 0.3105 0.7391 0.0496
Pm 0.6895 0.2609 0.9504
Pm 0.8105 0.7609 0.5713
Ho 0.2500 0.7500 0.5000
Ho 0.7500 0.2500 0.5000
Pt 0.1145 0.7515 0.8660
Pt 0.3855 0.2515 0.6370
Pt 0.6145 0.7485 0.3630
Pt 0.8855 0.2485 0.1340

---

# 5
Calculated XRD peak list of Ce2Pm3HoSe6 for CuKα, from a crystal structure in Alexandria, relaxed with PBE.

The 8 most intense peaks (2θ from 15° to 90°), low angle first:
2θ 26.15, I 17
2θ 30.28, I 100
2θ 43.33, I 50
2θ 43.41, I 25
2θ 53.76, I 20
2θ 62.98, I 12
2θ 71.51, I 22
2θ 79.54, I 12

Structure:
Unit cell a=7.2273 b=7.2273 c=7.2434 alpha=99.60 beta=99.60 gamma=120.08
Positions (direct):
Ce 0.1660 0.8340 0.0000
Ce 0.8340 0.1660 0.0000
Pm 0.0000 0.0000 0.5000
Pm 0.3317 0.6683 0.5000
Pm 0.6683 0.3317 0.5000
Ho 0.5000 0.5000 0.0000
Se 0.0919 0.4187 0.7549
Se 0.2563 0.2563 0.2475
Se 0.4187 0.0919 0.7549
Se 0.5813 0.9081 0.2451
Se 0.7437 0.7437 0.7525
Se 0.9081 0.5813 0.2451

---

# 6
Calculated XRD peak list of CePmSm6Ho2 for CuKα, from a crystal structure in Alexandria, relaxed with PBE.

The 8 most intense peaks (2θ from 15° to 90°), low angle first:
2θ 27.20, I 41
2θ 30.57, I 29
2θ 30.67, I 38
2θ 31.03, I 100
2θ 31.49, I 52
2θ 32.74, I 35
2θ 33.31, I 32
2θ 33.85, I 28

Structure:
Unit cell a=6.6564 b=6.6564 c=8.9462 alpha=102.39 beta=102.39 gamma=62.09
Positions (direct):
Ce 0.0000 0.0000 0.0000
Pm 0.5000 0.5000 0.5000
Sm 0.0917 0.5678 0.1978
Sm 0.1285 0.1285 0.4157
Sm 0.4322 0.9083 0.8022
Sm 0.5678 0.0917 0.1978
Sm 0.8715 0.8715 0.5843
Sm 0.9083 0.4322 0.8022
Ho 0.4098 0.4098 0.8364
Ho 0.5902 0.5902 0.1636

---

# 7
Calculated XRD peak list of TbCePm2Ho for CuKα, from a crystal structure in Alexandria, relaxed with PBE.

The 8 most intense peaks (2θ from 15° to 90°), low angle first:
2θ 29.15, I 53
2θ 29.55, I 100
2θ 32.34, I 93
2θ 32.47, I 92
2θ 33.95, I 37
2θ 34.08, I 35
2θ 35.74, I 40
2θ 36.73, I 40

Structure:
Unit cell a=6.6940 b=8.1307 c=6.1280 alpha=90.00 beta=90.30 gamma=90.00
Positions (direct):
Tb 0.0000 0.1463 0.2500
Tb 0.0000 0.8537 0.7500
Ce 0.0000 0.5000 0.0000
Ce 0.0000 0.5000 0.5000
Pm 0.2638 0.1885 0.7520
Pm 0.2638 0.8115 0.2520
Pm 0.7362 0.1885 0.7480
Pm 0.7362 0.8115 0.2480
Ho 0.5000 0.3725 0.2500
Ho 0.5000 0.6275 0.7500

---

# 8
Calculated XRD peak list of Tb4CePmHo2 for CuKα, from a crystal structure in Alexandria, relaxed with PBE.

The 8 most intense peaks (2θ from 15° to 90°), low angle first:
2θ 30.78, I 100
2θ 30.83, I 33
2θ 35.70, I 67
2θ 51.32, I 24
2θ 51.45, I 24
2θ 61.01, I 14
2θ 61.15, I 43
2θ 64.20, I 12

Structure:
Unit cell a=6.1514 b=3.5528 c=11.8200 alpha=90.00 beta=99.95 gamma=90.00
Positions (direct):
Tb 0.2462 0.0000 0.2474
Tb 0.2487 0.5000 0.7519
Tb 0.7513 0.5000 0.2481
Tb 0.7538 0.0000 0.7526
Ce 0.0000 0.5000 0.0000
Pm 0.0000 0.0000 0.5000
Ho 0.5000 0.0000 0.0000
Ho 0.5000 0.5000 0.5000

---

# 9
Calculated XRD peak list of CePm2HoTe5 for CuKα, from a crystal structure in Alexandria, relaxed with PBE.

The 8 most intense peaks (2θ from 15° to 90°), low angle first:
2θ 22.76, I 86
2θ 27.71, I 36
2θ 32.18, I 57
2θ 32.41, I 100
2θ 34.27, I 48
2θ 44.80, I 27
2θ 46.49, I 37
2θ 47.88, I 38

Structure:
Unit cell a=5.5252 b=5.5252 c=11.8853 alpha=90.00 beta=90.00 gamma=90.00
Positions (direct):
Ce 0.0000 0.0000 0.0000
Pm 0.5000 0.5000 0.3460
Pm 0.5000 0.5000 0.6540
Ho 0.0000 0.0000 0.5000
Te 0.0000 0.0000 0.2524
Te 0.0000 0.0000 0.7476
Te 0.0000 0.5000 0.5000
Te 0.5000 0.0000 0.5000
Te 0.5000 0.5000 0.0000

---

# 10
Calculated XRD peak list of Ce3Pm3HoTe8 for CuKα, from a crystal structure in Alexandria, relaxed with PBE.

The 8 most intense peaks (2θ from 15° to 90°), low angle first:
2θ 28.28, I 100
2θ 40.30, I 38
2θ 40.55, I 38
2θ 50.18, I 20
2θ 58.50, I 13
2θ 66.05, I 18
2θ 66.41, I 17
2θ 73.61, I 13

Structure:
Unit cell a=8.9516 b=8.9516 c=8.9516 alpha=59.61 beta=59.61 gamma=59.61
Positions (direct):
Ce 0.0000 0.5000 0.5000
Ce 0.5000 0.0000 0.5000
Ce 0.5000 0.5000 0.0000
Pm 0.0000 0.0000 0.5000
Pm 0.0000 0.5000 0.0000
Pm 0.5000 0.0000 0.0000
Ho 0.5000 0.5000 0.5000
Te 0.2493 0.2493 0.2493
Te 0.2496 0.7488 0.7488
Te 0.2512 0.2512 0.7504
Te 0.2512 0.7504 0.2512
Te 0.7488 0.2496 0.7488
Te 0.7488 0.7488 0.2496
Te 0.7504 0.2512 0.2512
Te 0.7507 0.7507 0.7507

---

# 11
Calculated XRD peak list of CePmHoTm2 for CuKα, from a crystal structure in Alexandria, relaxed with PBE.

The 8 most intense peaks (2θ from 15° to 90°), low angle first:
2θ 27.20, I 21
2θ 30.56, I 100
2θ 30.99, I 25
2θ 31.38, I 50
2θ 33.42, I 18
2θ 35.46, I 25
2θ 49.22, I 22
2θ 54.86, I 19

Structure:
Unit cell a=5.7710 b=7.6787 c=7.2528 alpha=90.00 beta=90.00 gamma=90.00
Positions (direct):
Ce 0.0000 0.0000 0.0000
Ce 0.5000 0.0000 0.0000
Pm 0.2500 0.5000 0.1617
Pm 0.7500 0.5000 0.8383
Ho 0.2500 0.0000 0.3836
Ho 0.7500 0.0000 0.6164
Tm 0.2500 0.2909 0.6751
Tm 0.2500 0.7091 0.6751
Tm 0.7500 0.2909 0.3249
Tm 0.7500 0.7091 0.3249

---

# 12
Calculated XRD peak list of CePmHo2Tm5 for CuKα, from a crystal structure in Alexandria, relaxed with PBE.

The 8 most intense peaks (2θ from 15° to 90°), low angle first:
2θ 26.86, I 26
2θ 31.78, I 61
2θ 32.41, I 100
2θ 32.67, I 67
2θ 34.87, I 45
2θ 42.08, I 16
2θ 57.00, I 26
2θ 64.71, I 15

Structure:
Unit cell a=10.9900 b=10.9900 c=9.5174 alpha=90.00 beta=90.00 gamma=150.31
Positions (direct):
Ce 0.1966 0.8034 0.5000
Ce 0.8034 0.1966 0.0000
Pm 0.4034 0.5966 0.0992
Pm 0.5966 0.4034 0.5992
Ho 0.1126 0.8874 0.2012
Ho 0.1381 0.8619 0.8196
Ho 0.8619 0.1381 0.3196
Ho 0.8874 0.1126 0.7012
Tm 0.0132 0.9868 0.5068
Tm 0.2655 0.7345 0.1867
Tm 0.3078 0.6922 0.8050
Tm 0.3943 0.6057 0.4835
Tm 0.4716 0.5284 0.7786
Tm 0.5284 0.4716 0.2786
Tm 0.6057 0.3943 0.9835
Tm 0.6922 0.3078 0.3050
Tm 0.7345 0.2655 0.6867
Tm 0.9868 0.0132 0.0068